Entry 1:
Diffraction record for LiAlVO4. The powder diffractogram is theoretical, not measured: it uses a structure optimized by DFT (GGA+U) and Cu Ka.
No peak broadening, texture or thermal motion is included.

Main lines, by angle (2θ = 5–70°):
2θ = 18.67°, I 7, hkl 1 0 0; 2θ = 23.73°, I 100, hkl 1 0 2; 2θ = 37.86°, I 6, hkl 2 0 0; 2θ = 44.40°, I 23, hkl 1 1 4; 2θ = 53.15°, I 13, hkl 2 1 2; 2θ = 59.85°, I 13, hkl 2 0 6

Structure:
```
data_LiAlVO4
_chemical_formula_sum 'Li3 Al3 V3 O12'
_symmetry_space_group_name_H-M 'P 1'
_symmetry_Int_Tables_number 1
_symmetry_space_group_name_Hall 'P 1'
_cell_length_a 5.4881
_cell_length_b 5.4881
_cell_length_c 12.2056
_cell_angle_alpha 90.00
_cell_angle_beta 90.00
_cell_angle_gamma 120.00
loop_
_atom_site_label
_atom_site_type_symbol
_atom_site_fract_x
_atom_site_fract_y
_atom_site_fract_z
Li1 Li 0.0000 0.0000 0.0000
Li2 Li 0.0000 0.0000 0.3333
Li3 Li 0.0000 0.0000 0.6667
Al1 Al 0.0000 0.5000 0.6667
Al2 Al 0.5000 0.0000 0.0000
Al3 Al 0.5000 0.5000 0.3333
V1 V 0.0000 0.5000 0.1667
V2 V 0.5000 0.0000 0.5000
V3 V 0.5000 0.5000 0.8333
O1 O 0.1868 0.3858 0.2573
O2 O 0.1868 0.8010 0.0760
O3 O 0.1990 0.3858 0.7427
O4 O 0.1990 0.8132 0.5907
O5 O 0.3858 0.1868 0.4093
O6 O 0.3858 0.1990 0.9240
O7 O 0.6142 0.8010 0.9240
O8 O 0.6142 0.8132 0.4093
O9 O 0.8010 0.1868 0.5907
O10 O 0.8010 0.6142 0.7427
O11 O 0.8132 0.1990 0.0760
O12 O 0.8132 0.6142 0.2573
```

=====

Entry 2:
Diffraction record for Li7Mn5O12. The powder diffractogram is theoretical, not measured: it uses a structure optimized by DFT (GGA+U) and Cu Ka.
No peak broadening, texture or thermal motion is included.

Main lines, by angle (2θ = 5–70°):
2θ = 18.33°, I 100, hkl 1 0 0; 2θ = 36.17°, I 24, hkl 0 0 3; 2θ = 41.27°, I 35, hkl -2 2 1; 2θ = 43.99°, I 29, hkl 1 0 3; 2θ = 44.27°, I 28, hkl 1 2 -2; 2θ = 61.80°, I 17, hkl -1 2 4

Structure:
```
data_Li7Mn5O12
_chemical_formula_sum 'Li7 Mn5 O12'
_symmetry_space_group_name_H-M 'P 1'
_symmetry_Int_Tables_number 1
_symmetry_space_group_name_Hall 'P 1'
_cell_length_a 5.2402
_cell_length_b 6.0205
_cell_length_c 7.6778
_cell_angle_alpha 98.60
_cell_angle_beta 97.14
_cell_angle_gamma 109.90
loop_
_atom_site_label
_atom_site_type_symbol
_atom_site_fract_x
_atom_site_fract_y
_atom_site_fract_z
Li1 Li 0.0000 0.0000 0.0000
Li2 Li 0.4930 0.4060 0.1588
Li3 Li 0.4969 0.9232 0.1614
Li4 Li 0.5003 0.2478 0.4959
Li5 Li 0.4997 0.7522 0.5041
Li6 Li 0.5031 0.0768 0.8386
Li7 Li 0.5070 0.5940 0.8412
Mn1 Mn 0.0000 0.5000 0.0000
Mn2 Mn 0.0017 0.3239 0.3270
Mn3 Mn 0.0040 0.8318 0.3304
Mn4 Mn 0.9960 0.1682 0.6696
Mn5 Mn 0.9983 0.6761 0.6730
O1 O 0.2099 0.3070 0.9106
O2 O 0.2154 0.4483 0.5754
O3 O 0.2283 0.1197 0.2611
O4 O 0.2346 0.7722 0.9118
O5 O 0.2361 0.5955 0.2360
O6 O 0.2356 0.9375 0.5799
O7 O 0.7644 0.0625 0.4201
O8 O 0.7639 0.4045 0.7640
O9 O 0.7654 0.2278 0.0882
O10 O 0.7717 0.8803 0.7389
O11 O 0.7846 0.5517 0.4246
O12 O 0.7901 0.6930 0.0894
```

=====

Entry 3:
Diffraction record for VHO3. The powder diffractogram is theoretical, not measured: it uses a structure optimized by DFT (GGA+U) and Cu Ka.
No peak broadening, texture or thermal motion is included.

Main lines, by angle (2θ = 5–70°):
2θ = 11.58°, I 100, hkl 0 0 1; 2θ = 15.44°, I 52, hkl 0 1 1; 2θ = 25.47°, I 21, hkl 0 1 2; 2θ = 25.90°, I 27, hkl 1 0 -2; 2θ = 27.43°, I 69, hkl 1 2 0; 2θ = 45.83°, I 22, hkl 1 3 2

Structure:
```
data_VHO3
_chemical_formula_sum 'V6 H6 O18'
_symmetry_space_group_name_H-M 'P 1'
_symmetry_Int_Tables_number 1
_symmetry_space_group_name_Hall 'P 1'
_cell_length_a 5.0457
_cell_length_b 8.6970
_cell_length_c 7.8718
_cell_angle_alpha 90.00
_cell_angle_beta 103.97
_cell_angle_gamma 90.00
loop_
_atom_site_label
_atom_site_type_symbol
_atom_site_fract_x
_atom_site_fract_y
_atom_site_fract_z
V1 V 0.0298 0.0000 0.3150
V2 V 0.0312 0.6085 0.3140
V3 V 0.4427 0.3039 0.5781
V4 V 0.5573 0.8039 0.4219
V5 V 0.9688 0.1085 0.6860
V6 V 0.9702 0.5000 0.6850
H1 H 0.3304 0.2977 0.9404
H2 H 0.4018 0.7136 0.9077
H3 H 0.4130 0.8962 0.9217
H4 H 0.5870 0.3962 0.0783
H5 H 0.5982 0.2136 0.0923
H6 H 0.6696 0.7977 0.0596
O1 O 0.1344 0.3038 0.7640
O2 O 0.1361 0.9989 0.8446
O3 O 0.1406 0.6110 0.8415
O4 O 0.1768 0.1443 0.5035
O5 O 0.1773 0.4635 0.5031
O6 O 0.3454 0.9537 0.2671
O7 O 0.3477 0.6557 0.2665
O8 O 0.3799 0.8042 0.5688
O9 O 0.4646 0.3030 0.0636
O10 O 0.5354 0.8030 0.9364
O11 O 0.6201 0.3042 0.4312
O12 O 0.6523 0.1557 0.7335
O13 O 0.6546 0.4537 0.7329
O14 O 0.8232 0.6443 0.4965
O15 O 0.8227 0.9635 0.4969
O16 O 0.8594 0.1110 0.1585
O17 O 0.8639 0.4989 0.1554
O18 O 0.8656 0.8038 0.2360
```